Diffraction record for BeCrAs2O6. The PXRD pattern is theoretical, not measured: it uses the GGA+U geometry in Alexandria and λ = 1.5418 Å (Cu Kα).
Peak positions follow from Bragg's law for the DFT cell and can differ from measured ones.

Largest 12 diffraction maxima, low angle first, 2θ from 15° to 90°:
2theta  d/Å  I_rel  (hkl)
15.5  5.719  28  2 0 0
24.6  3.617  34  1 1 1
25.9  3.445  57  3 1 0
28.9  3.093  36  0 2 1
30.1  2.966  100  2 2 -1
31.3  2.859  26  4 0 0
35.5  2.528  22  2 2 1
37.3  2.409  23  1 1 -2
41.1  2.198  24  4 0 -2
45.1  2.010  18  0 4 0
50.2  1.818  16  5 1 1
51.6  1.770  23  3 1 2

Crystal structure
```
data_BeCrAs2O6
_chemical_formula_sum 'Be4 Cr4 As8 O24'
_symmetry_space_group_name_H-M 'C 1 2/c 1'
_symmetry_Int_Tables_number 15
_cell_length_a 11.9746
_cell_length_b 8.0409
_cell_length_c 5.0701
_cell_angle_alpha 90.00
_cell_angle_beta 107.22
_cell_angle_gamma 90.00
loop_
_symmetry_equiv_pos_as_xyz
'x,y,z'
'-x,-y,-z'
'-x,y,-z+1/2'
'x,-y,z+1/2'
'x+1/2,y+1/2,z'
'-x+1/2,-y+1/2,-z'
'-x+1/2,y+1/2,-z+1/2'
'x+1/2,-y+1/2,z+1/2'
loop_
_atom_site_label
_atom_site_fract_x
_atom_site_fract_y
_atom_site_fract_z
_atom_site_occupancy
Be1 0.0000 0.2122 0.2500 1
Cr1 0.0000 0.1114 0.7500 1
As1 0.2169 0.3686 0.6734 1
O1 0.0661 0.2954 0.5516 1
O2 0.0878 0.0839 0.1491 1
O3 0.2006 0.4262 0.0106 1
```